Simulated PXRD pattern of Pr2CBr for copper Kα, from a crystal structure in Alexandria, relaxed with GGA-PBE.

Largest 12 diffraction maxima, by intensity, 2θ from 5° to 70°:
- 2θ = 32.23°, I 100.0
- 2θ = 47.22°, I 24.5
- 2θ = 26.74°, I 24.2
- 2θ = 60.62°, I 19.3
- 2θ = 58.32°, I 18.2
- 2θ = 35.76°, I 14.8
- 2θ = 45.21°, I 13.5
- 2θ = 62.04°, I 12.6
- 2θ = 27.40°, I 6.1
- 2θ = 50.47°, I 4.4
- 2θ = 67.44°, I 4.0
- 2θ = 11.75°, I 3.6

Crystal structure
```
data_Pr2CBr
_cell_length_a 3.8497
_cell_length_b 3.8497
_cell_length_c 15.0661
_cell_angle_alpha 90.00
_cell_angle_beta 90.00
_cell_angle_gamma 120.00
_symmetry_space_group_name_H-M 'P 63/m m c'
_symmetry_Int_Tables_number 194
_symmetry_space_group_name_Hall '-P 6c 2c'
loop_
_atom_site_label
_atom_site_fract_x
_atom_site_fract_y
_atom_site_fract_z
_atom_site_occupancy
Pr1 0.3333 0.6667 0.0921 1
C1 0.0000 0.0000 0.0000 1
Br1 0.3333 0.6667 0.7500 1
```



Simulated PXRD pattern of Pr7C3Br10 for copper Kα, from a crystal structure in Alexandria, relaxed with GGA-PBE.

Largest 12 diffraction maxima, by intensity, 2θ from 5° to 70°:
- 2θ = 28.60°, I 100.0
- 2θ = 30.20°, I 80.7
- 2θ = 30.75°, I 70.0
- 2θ = 11.28°, I 39.4
- 2θ = 41.43°, I 27.2
- 2θ = 42.73°, I 26.9
- 2θ = 42.86°, I 26.7
- 2θ = 42.12°, I 26.3
- 2θ = 53.57°, I 24.5
- 2θ = 43.28°, I 22.1
- 2θ = 44.01°, I 21.8
- 2θ = 8.55°, I 18.5

Crystal structure
```
data_Pr7C3Br10
_cell_length_a 9.2596
_cell_length_b 11.2956
_cell_length_c 13.5493
_cell_angle_alpha 86.15
_cell_angle_beta 72.26
_cell_angle_gamma 66.53
_symmetry_space_group_name_H-M 'P -1'
_symmetry_Int_Tables_number 2
loop_
_symmetry_equiv_pos_as_xyz
'x,y,z'
'-x,-y,-z'
loop_
_atom_site_label
_atom_site_fract_x
_atom_site_fract_y
_atom_site_fract_z
_atom_site_occupancy
Pr1 0.0319 0.4328 0.1695 1
Pr2 0.0955 0.2784 0.4199 1
Pr3 0.1775 0.7917 0.6902 1
Pr4 0.1879 0.0490 0.0783 1
Pr5 0.1951 0.9194 0.3619 1
Pr6 0.4279 0.2526 0.8991 1
Pr7 0.4403 0.1168 0.1786 1
C1 0.1060 0.2292 0.2318 1
C2 0.1430 0.1099 0.2772 1
C3 0.4818 0.0595 0.9771 1
Br1 0.0141 0.4418 0.6338 1
Br2 0.0598 0.3108 0.9643 1
Br3 0.1683 0.0446 0.5652 1
Br4 0.1797 0.9223 0.8780 1
Br5 0.2189 0.7835 0.1701 1
Br6 0.2655 0.6618 0.4848 1
Br7 0.3193 0.5273 0.7745 1
Br8 0.3895 0.3922 0.0919 1
Br9 0.4434 0.1339 0.7025 1
Br10 0.4452 0.2428 0.3721 1
```



Simulated PXRD pattern of Pr10C4Br15 for copper Kα, from a crystal structure in Alexandria, relaxed with GGA-PBE.

Largest 12 diffraction maxima, by intensity, 2θ from 5° to 70°:
- 2θ = 28.87°, I 100.0
- 2θ = 30.30°, I 71.0
- 2θ = 30.65°, I 68.1
- 2θ = 41.91°, I 27.3
- 2θ = 42.20°, I 27.2
- 2θ = 42.79°, I 26.8
- 2θ = 43.03°, I 26.5
- 2θ = 8.82°, I 25.5
- 2θ = 11.39°, I 24.9
- 2θ = 10.67°, I 22.4
- 2θ = 43.13°, I 22.1
- 2θ = 44.15°, I 20.6

Crystal structure
```
data_Pr10C4Br15
_cell_length_a 9.3009
_cell_length_b 10.2803
_cell_length_c 11.2683
_cell_angle_alpha 70.35
_cell_angle_beta 66.23
_cell_angle_gamma 70.78
_symmetry_space_group_name_H-M 'P -1'
_symmetry_Int_Tables_number 2
loop_
_symmetry_equiv_pos_as_xyz
'x,y,z'
'-x,-y,-z'
loop_
_atom_site_label
_atom_site_fract_x
_atom_site_fract_y
_atom_site_fract_z
_atom_site_occupancy
Pr1 0.0289 0.1047 0.2629 1
Pr2 0.0783 0.1798 0.8889 1
Pr3 0.1696 0.4301 0.0453 1
Pr4 0.2459 0.5410 0.6455 1
Pr5 0.3327 0.7498 0.8321 1
C1 0.0441 0.7037 0.9384 1
C2 0.1195 0.6403 0.8293 1
Br1 0.0514 0.5576 0.2949 1
Br2 0.1284 0.8142 0.4714 1
Br3 0.2319 0.9078 0.0608 1
Br4 0.2553 0.0244 0.6484 1
Br5 0.3355 0.1693 0.2176 1
Br6 0.3845 0.2724 0.8170 1
Br7 0.4543 0.3694 0.4117 1
Br8 0.5000 0.5000 0.0000 1
```